Structure and theoretical PXRD pattern of Ce2AlHg (DFT lattice parameters and positions (GGA-PBE); Cu Kα (weighted mean of Kα1 and Kα2)).
No peak broadening, texture or thermal motion is included.

Structural model:
Cell lengths 4.4929, 4.4929, 4.7389 Å; angles 90.00, 90.00, 90.00 degrees
Sites, in units of the cell vectors:
Ce1 0.0000 0.5000 0.0000
Ce2 0.5000 0.0000 0.0000
Al1 0.0000 0.0000 0.5000
Hg1 0.5000 0.5000 0.5000

Largest 8 diffraction maxima, sorted by position, 2θ = 10–80°:
4.493 Å, 2θ 19.8, I = 21.4, hkl 1 0 0; 3.260 Å, 2θ 27.4, I = 20.2, hkl 1 0 1; 2.639 Å, 2θ 34.0, I = 100.0, hkl 1 1 1; 2.369 Å, 2θ 38.0, I = 18.5, hkl 0 0 2; 2.246 Å, 2θ 40.1, I = 31.7, hkl 2 0 0; 1.630 Å, 2θ 56.4, I = 23.5, hkl 2 0 2; 1.414 Å, 2θ 66.1, I = 14.6, hkl 1 1 3; 1.361 Å, 2θ 69.0, I = 25.8, hkl 3 1 1